[1]
# Pm2Nd3Sb3
Simulated powder diffractogram, Cu Kα X-rays. Input: a GGA-PBE-relaxed structure.
Kinematic intensities with the Lorentz-polarization factor, no thermal factor.

```
data_Pm2Nd3Sb3
_chemical_formula_sum 'Pm4 Nd6 Sb6'
_cell_length_a 9.2976
_cell_length_b 9.2976
_cell_length_c 6.4969
_cell_angle_alpha 90.00
_cell_angle_beta 90.00
_cell_angle_gamma 120.00
_space_group_name_H-M_alt 'P 63/m c m'
_space_group_IT_number 193
_space_group_name_Hall '-P 6c 2'
loop_
_atom_site_label
_atom_site_type_symbol
_atom_site_fract_x
_atom_site_fract_y
_atom_site_fract_z
Pm1 Pm 0.3333 0.6667 0.0000
Nd1 Nd 0.0000 0.2495 0.2500
Sb1 Sb 0.0000 0.3880 0.7500
```

The 8 most intense peaks (15° ≤ 2θ ≤ 90°), low angle first:
(0 0 2), 2θ 27.46, intensity 17.3
(2 1 0), 2θ 29.35, intensity 31.6
(1 0 2), 2θ 29.65, intensity 17.6
(2 1 1), 2θ 32.49, intensity 100.0
(3 0 0), 2θ 33.38, intensity 57.2
(1 1 2), 2θ 33.66, intensity 87.4
(2 2 2), 2θ 48.14, intensity 23.3
(2 1 3), 2θ 51.81, intensity 26.6

[2]
# Fe7Co
Simulated powder diffractogram, Cu Kα X-rays. Input: a GGA-PBE-relaxed structure.
Kinematic intensities with the Lorentz-polarization factor, no thermal factor.

```
data_Fe7Co
_chemical_formula_sum 'Fe14 Co2'
_cell_length_a 5.667
_cell_length_b 5.667
_cell_length_c 5.667
_cell_angle_alpha 90.00
_cell_angle_beta 90.00
_cell_angle_gamma 90.00
_space_group_name_H-M_alt 'I m -3 m'
_space_group_IT_number 229
_space_group_name_Hall '-I 4 2 3'
loop_
_atom_site_label
_atom_site_type_symbol
_atom_site_fract_x
_atom_site_fract_y
_atom_site_fract_z
Fe1 Fe 0.000 0.000 0.500
Fe2 Fe 0.250 0.250 0.250
Co1 Co 0.000 0.000 0.000
```

The 3 most intense peaks (15° ≤ 2θ ≤ 90°), low angle first:
(2 2 0), 2θ 45.26, intensity 100.0
(4 0 0), 2θ 65.93, intensity 14.6
(4 2 2), 2θ 83.58, intensity 28.6

[3]
# TmLuScZnIn2
Simulated powder diffractogram, Cu Kα X-rays. Input: a GGA-PBE-relaxed structure.
Kinematic intensities with the Lorentz-polarization factor, no thermal factor.

```
data_TmLuScZnIn2
_chemical_formula_sum 'Tm1 Lu1 Sc1 Zn1 In2'
_cell_length_a 4.9001
_cell_length_b 4.9001
_cell_length_c 6.8717
_cell_angle_alpha 90.00
_cell_angle_beta 90.00
_cell_angle_gamma 120.00
_space_group_name_H-M_alt 'P 3 m 1'
_space_group_IT_number 156
loop_
_space_group_symop_operation_xyz
'x,y,z'
'-y,x-y,z'
'-x+y,-x,z'
'-y,-x,z'
'-x+y,y,z'
'x,x-y,z'
loop_
_atom_site_label
_atom_site_type_symbol
_atom_site_fract_x
_atom_site_fract_y
_atom_site_fract_z
Tm1 Tm 0.0000 0.0000 0.0000
Lu1 Lu 0.0000 0.0000 0.5078
Sc1 Sc 0.6667 0.3333 0.2554
Zn1 Zn 0.3333 0.6667 0.7538
In1 In 0.3333 0.6667 0.2548
In2 In 0.6667 0.3333 0.7534
```

The 8 most intense peaks (15° ≤ 2θ ≤ 90°), low angle first:
(1 0 0), 2θ 20.93, intensity 16.5
(1 0 2), 2θ 33.56, intensity 100.0
(1 1 0), 2θ 36.68, intensity 70.4
(0 2 2), 2θ 50.56, intensity 31.2
(2 1 2), 2θ 64.07, intensity 30.4
(3 0 0), 2θ 66.05, intensity 12.2
(1 1 4), 2θ 66.47, intensity 23.9
(1 3 2), 2θ 87.64, intensity 13.2

[4]
# Co9S8
Simulated powder diffractogram, Cu Kα X-rays. Input: a GGA-PBE-relaxed structure.
Kinematic intensities with the Lorentz-polarization factor, no thermal factor.

```
data_Co9S8
_chemical_formula_sum 'Co36 S32'
_cell_length_a 9.785
_cell_length_b 9.785
_cell_length_c 9.785
_cell_angle_alpha 90.00
_cell_angle_beta 90.00
_cell_angle_gamma 90.00
_space_group_name_H-M_alt 'F m -3 m'
_space_group_IT_number 225
_space_group_name_Hall '-F 4 2 3'
loop_
_atom_site_label
_atom_site_type_symbol
_atom_site_fract_x
_atom_site_fract_y
_atom_site_fract_z
Co1 Co 0.000 0.000 0.000
Co2 Co 0.127 0.127 0.373
S1 S 0.000 0.000 0.238
S2 S 0.250 0.250 0.250
```

The 8 most intense peaks (15° ≤ 2θ ≤ 90°), low angle first:
(1 1 1), 2θ 15.69, intensity 23.3
(3 1 1), 2θ 30.29, intensity 88.6
(2 2 2), 2θ 31.68, intensity 19.5
(3 3 1), 2θ 40.17, intensity 15.4
(5 1 1), 2θ 48.33, intensity 33.7
(4 4 0), 2θ 52.93, intensity 100.0
(5 5 3), 2θ 74.48, intensity 15.7
(8 0 0), 2θ 78.14, intensity 14.5

[5]
# BaCdInPtPb
Simulated powder diffractogram, Cu Kα X-rays. Input: a GGA-PBE-relaxed structure.
Kinematic intensities with the Lorentz-polarization factor, no thermal factor.

```
data_BaCdInPtPb
_chemical_formula_sum 'Ba2 Cd2 In2 Pt2 Pb2'
_cell_length_a 4.971
_cell_length_b 4.971
_cell_length_c 11.434
_cell_angle_alpha 90.00
_cell_angle_beta 90.00
_cell_angle_gamma 90.00
_space_group_name_H-M_alt 'P 4/n m m'
_space_group_IT_number 129
loop_
_space_group_symop_operation_xyz
'x,y,z'
'-x,-y,-z'
'-y+1/2,x,z'
'y+1/2,-x,-z'
'-x+1/2,-y+1/2,z'
'x+1/2,y+1/2,-z'
'y,-x+1/2,z'
'-y,x+1/2,-z'
'x+1/2,-y,-z'
'-x+1/2,y,z'
'-y,-x,-z'
'y,x,z'
'-x,y+1/2,-z'
'x,-y+1/2,z'
'y+1/2,x+1/2,-z'
'-y+1/2,-x+1/2,z'
loop_
_atom_site_label
_atom_site_type_symbol
_atom_site_fract_x
_atom_site_fract_y
_atom_site_fract_z
Ba1 Ba 0.250 0.250 0.239
Cd1 Cd 0.250 0.750 0.500
In1 In 0.250 0.750 0.000
Pt1 Pt 0.250 0.250 0.899
Pb1 Pb 0.250 0.250 0.658
```

The 8 most intense peaks (15° ≤ 2θ ≤ 90°), low angle first:
(1 0 1), 2θ 19.47, intensity 36.7
(1 1 0), 2θ 25.34, intensity 37.1
(1 0 3), 2θ 29.53, intensity 69.0
(1 1 2), 2θ 29.84, intensity 87.7
(2 0 0), 2θ 36.14, intensity 100.0
(1 1 4), 2θ 40.68, intensity 40.4
(2 1 3), 2θ 47.35, intensity 44.6
(2 2 0), 2θ 52.07, intensity 56.4

[6]
# PmPbNO
Simulated powder diffractogram, Cu Kα X-rays. Input: a GGA-PBE-relaxed structure.
Kinematic intensities with the Lorentz-polarization factor, no thermal factor.

```
data_PmPbNO
_chemical_formula_sum 'Pm4 Pb4 N4 O4'
_cell_length_a 6.793
_cell_length_b 9.335
_cell_length_c 5.141
_cell_angle_alpha 90.00
_cell_angle_beta 90.00
_cell_angle_gamma 90.00
_space_group_name_H-M_alt 'P c a 21'
_space_group_IT_number 29
loop_
_space_group_symop_operation_xyz
'x,y,z'
'-x,-y,z+1/2'
'-x+1/2,y,z+1/2'
'x+1/2,-y,z'
loop_
_atom_site_label
_atom_site_type_symbol
_atom_site_fract_x
_atom_site_fract_y
_atom_site_fract_z
Pm1 Pm 0.067 0.115 0.000
Pb1 Pb 0.056 0.648 0.990
N1 N 0.081 0.114 0.504
O1 O 0.115 0.687 0.535
```

The 8 most intense peaks (15° ≤ 2θ ≤ 90°), low angle first:
(1 2 0), 2θ 23.12, intensity 20.6
(2 0 0), 2θ 26.24, intensity 25.5
(1 2 1), 2θ 28.99, intensity 100.0
(2 0 1), 2θ 31.57, intensity 21.6
(0 0 2), 2θ 34.91, intensity 25.4
(0 4 0), 2θ 38.58, intensity 14.7
(3 2 0), 2θ 44.47, intensity 19.9
(3 2 2), 2θ 57.74, intensity 18.0

[7]
# Li3DyHo2Sn3
Simulated powder diffractogram, Cu Kα X-rays. Input: a GGA-PBE-relaxed structure.
Kinematic intensities with the Lorentz-polarization factor, no thermal factor.

```
data_Li3DyHo2Sn3
_chemical_formula_sum 'Li3 Dy1 Ho2 Sn3'
_cell_length_a 4.7142
_cell_length_b 4.7142
_cell_length_c 10.6915
_cell_angle_alpha 90.00
_cell_angle_beta 90.00
_cell_angle_gamma 120.00
_space_group_name_H-M_alt 'P -6 m 2'
_space_group_IT_number 187
_space_group_name_Hall 'P -6 2'
loop_
_atom_site_label
_atom_site_type_symbol
_atom_site_fract_x
_atom_site_fract_y
_atom_site_fract_z
Li1 Li 0.0000 0.0000 0.0000
Li2 Li 0.3333 0.6667 0.3105
Dy1 Dy 0.6667 0.3333 0.5000
Ho1 Ho 0.6667 0.3333 0.1646
Sn1 Sn 0.0000 0.0000 0.3275
Sn2 Sn 0.3333 0.6667 0.0000
```

The 8 most intense peaks (15° ≤ 2θ ≤ 90°), low angle first:
(1 0 0), 2θ 21.77, intensity 30.8
(1 0 1), 2θ 23.32, intensity 20.3
(1 0 2), 2θ 27.49, intensity 16.0
(1 0 3), 2θ 33.37, intensity 100.0
(1 1 0), 2θ 38.18, intensity 56.2
(2 0 3), 2θ 51.60, intensity 29.6
(1 1 6), 2θ 65.69, intensity 22.9
(2 1 3), 2θ 65.97, intensity 28.5

[8]
# Pa2Si3Os
Simulated powder diffractogram, Cu Kα X-rays. Input: a GGA-PBE-relaxed structure.
Kinematic intensities with the Lorentz-polarization factor, no thermal factor.

```
data_Pa2Si3Os
_chemical_formula_sum 'Pa16 Si24 Os8'
_cell_length_a 7.882
_cell_length_b 8.203
_cell_length_c 14.066
_cell_angle_alpha 90.00
_cell_angle_beta 90.00
_cell_angle_gamma 90.00
_space_group_name_H-M_alt 'F m m m'
_space_group_IT_number 69
_space_group_name_Hall '-F 2 2'
loop_
_atom_site_label
_atom_site_type_symbol
_atom_site_fract_x
_atom_site_fract_y
_atom_site_fract_z
Pa1 Pa 0.243 0.000 0.000
Pa2 Pa 0.250 0.250 0.250
Si1 Si 0.000 0.000 0.335
Si2 Si 0.000 0.244 0.417
Os1 Os 0.000 0.000 0.165
```

The 8 most intense peaks (15° ≤ 2θ ≤ 90°), low angle first:
(0 2 2), 2θ 25.13, intensity 31.5
(2 2 2), 2θ 34.03, intensity 100.0
(2 0 4), 2θ 34.17, intensity 51.1
(0 4 0), 2θ 44.16, intensity 18.8
(0 2 6), 2θ 44.51, intensity 36.8
(4 0 0), 2θ 46.06, intensity 16.9
(2 4 4), 2θ 56.99, intensity 24.4
(4 2 6), 2θ 65.99, intensity 23.0

[9]
# Ag2Se
Simulated powder diffractogram, Cu Kα X-rays. Input: a GGA-PBE-relaxed structure.
Kinematic intensities with the Lorentz-polarization factor, no thermal factor.

```
data_Ag2Se
_chemical_formula_sum 'Ag4 Se2'
_cell_length_a 5.629
_cell_length_b 5.629
_cell_length_c 5.629
_cell_angle_alpha 90.00
_cell_angle_beta 90.00
_cell_angle_gamma 90.00
_space_group_name_H-M_alt 'P n -3 m'
_space_group_IT_number 224
loop_
_space_group_symop_operation_xyz
'x,y,z'
'-x,-y,-z'
'-y,x+1/2,z+1/2'
'y,-x+1/2,-z+1/2'
'-x+1/2,-y+1/2,z'
'x+1/2,y+1/2,-z'
'y+1/2,-x,z+1/2'
'-y+1/2,x,-z+1/2'
'x,-y+1/2,-z+1/2'
'-x,y+1/2,z+1/2'
'-y,-x,-z'
'y,x,z'
'-x+1/2,y,-z+1/2'
'x+1/2,-y,z+1/2'
'y+1/2,x+1/2,-z'
'-y+1/2,-x+1/2,z'
'z,x,y'
'-z,-x,-y'
'z+1/2,-y,x+1/2'
'-z+1/2,y,-x+1/2'
'z,-x+1/2,-y+1/2'
'-z,x+1/2,y+1/2'
'z+1/2,y+1/2,-x'
'-z+1/2,-y+1/2,x'
'-z+1/2,x,-y+1/2'
'z+1/2,-x,y+1/2'
'-z,-y,-x'
'z,y,x'
'-z+1/2,-x+1/2,y'
'z+1/2,x+1/2,-y'
'-z,y+1/2,x+1/2'
'z,-y+1/2,-x+1/2'
'y,z,x'
'-y,-z,-x'
'x+1/2,z+1/2,-y'
'-x+1/2,-z+1/2,y'
'-y+1/2,z,-x+1/2'
'y+1/2,-z,x+1/2'
'-x,z+1/2,y+1/2'
'x,-z+1/2,-y+1/2'
'-y+1/2,-z+1/2,x'
'y+1/2,z+1/2,-x'
'-x,-z,-y'
'x,z,y'
'y,-z+1/2,-x+1/2'
'-y,z+1/2,x+1/2'
'x+1/2,-z,y+1/2'
'-x+1/2,z,-y+1/2'
loop_
_atom_site_label
_atom_site_type_symbol
_atom_site_fract_x
_atom_site_fract_y
_atom_site_fract_z
Ag1 Ag 0.000 0.000 0.000
Se1 Se 0.250 0.250 0.250
```

The 8 most intense peaks (15° ≤ 2θ ≤ 90°), low angle first:
(1 1 0), 2θ 22.34, intensity 31.7
(1 1 1), 2θ 27.44, intensity 100.0
(2 0 0), 2θ 31.79, intensity 21.3
(2 1 1), 2θ 39.20, intensity 14.2
(2 2 0), 2θ 45.58, intensity 66.7
(3 1 1), 2θ 54.03, intensity 42.7
(3 3 1), 2θ 73.31, intensity 16.5
(4 2 2), 2θ 84.28, intensity 21.6

[10]
# Li2MgTaAl2Ir2
Simulated powder diffractogram, Cu Kα X-rays. Input: a GGA-PBE-relaxed structure.
Kinematic intensities with the Lorentz-polarization factor, no thermal factor.

```
data_Li2MgTaAl2Ir2
_chemical_formula_sum 'Li2 Mg1 Ta1 Al2 Ir2'
_cell_length_a 4.385
_cell_length_b 4.385
_cell_length_c 6.179
_cell_angle_alpha 90.00
_cell_angle_beta 90.00
_cell_angle_gamma 90.00
_space_group_name_H-M_alt 'P -4 m 2'
_space_group_IT_number 115
loop_
_space_group_symop_operation_xyz
'x,y,z'
'y,-x,-z'
'-x,-y,z'
'-y,x,-z'
'-x,y,z'
'-y,-x,-z'
'x,-y,z'
'y,x,-z'
loop_
_atom_site_label
_atom_site_type_symbol
_atom_site_fract_x
_atom_site_fract_y
_atom_site_fract_z
Li1 Li 0.000 0.500 0.235
Mg1 Mg 0.500 0.500 0.000
Ta1 Ta 0.000 0.000 0.500
Al1 Al 0.000 0.000 0.000
Al2 Al 0.500 0.500 0.500
Ir1 Ir 0.000 0.500 0.730
```

The 8 most intense peaks (15° ≤ 2θ ≤ 90°), low angle first:
(1 0 0), 2θ 20.25, intensity 11.5
(1 0 1), 2θ 24.90, intensity 94.6
(2 0 0), 2θ 41.22, intensity 100.0
(2 1 1), 2θ 48.71, intensity 31.8
(1 0 3), 2θ 48.85, intensity 14.1
(2 2 0), 2θ 59.63, intensity 11.6
(2 1 3), 2θ 65.75, intensity 11.7
(3 1 2), 2θ 75.08, intensity 22.8

[11]
# Cs2RbFeC6N6
Simulated powder diffractogram, Cu Kα X-rays. Input: a GGA-PBE-relaxed structure.
Kinematic intensities with the Lorentz-polarization factor, no thermal factor.

```
data_Cs2RbFeC6N6
_chemical_formula_sum 'Cs4 Rb2 Fe2 C12 N12'
_cell_length_a 7.679
_cell_length_b 8.186
_cell_length_c 13.463
_cell_angle_alpha 90.00
_cell_angle_beta 124.36
_cell_angle_gamma 90.00
_space_group_name_H-M_alt 'P 1 21/c 1'
_space_group_IT_number 14
loop_
_space_group_symop_operation_xyz
'x,y,z'
'-x,-y,-z'
'-x,y+1/2,-z+1/2'
'x,-y+1/2,z+1/2'
loop_
_atom_site_label
_atom_site_type_symbol
_atom_site_fract_x
_atom_site_fract_y
_atom_site_fract_z
Cs1 Cs 0.226 0.072 0.248
Rb1 Rb 0.000 0.000 0.500
Fe1 Fe 0.500 0.000 0.000
C1 C 0.262 0.122 0.967
C2 C 0.339 0.696 0.456
C3 C 0.416 0.027 0.839
N1 N 0.110 0.194 0.943
N2 N 0.239 0.684 0.928
N3 N 0.368 0.048 0.740
```

The 8 most intense peaks (15° ≤ 2θ ≤ 90°), low angle first:
(1 1 0), 2θ 17.73, intensity 33.0
(0 2 0), 2θ 21.71, intensity 38.1
(1 1 1), 2θ 22.48, intensity 100.0
(1 1 -3), 2θ 22.60, intensity 98.7
(2 0 -2), 2θ 23.16, intensity 66.5
(2 2 -2), 2θ 31.96, intensity 36.6
(1 3 0), 2θ 35.84, intensity 37.9
(2 0 -6), 2θ 40.22, intensity 44.9

[12]
# Rb2PdBrF3
Simulated powder diffractogram, Cu Kα X-rays. Input: a GGA-PBE-relaxed structure.
Kinematic intensities with the Lorentz-polarization factor, no thermal factor.

```
data_Rb2PdBrF3
_chemical_formula_sum 'Rb4 Pd2 Br2 F6'
_cell_length_a 3.786
_cell_length_b 10.081
_cell_length_c 7.891
_cell_angle_alpha 90.00
_cell_angle_beta 90.00
_cell_angle_gamma 90.00
_space_group_name_H-M_alt 'A m m 2'
_space_group_IT_number 38
loop_
_space_group_symop_operation_xyz
'x,y,z'
'-x,-y,z'
'-x,y,z'
'x,-y,z'
'x,y+1/2,z+1/2'
'-x,-y+1/2,z+1/2'
'-x,y+1/2,z+1/2'
'x,-y+1/2,z+1/2'
loop_
_atom_site_label
_atom_site_type_symbol
_atom_site_fract_x
_atom_site_fract_y
_atom_site_fract_z
Rb1 Rb 0.000 0.209 0.000
Pd1 Pd 0.500 0.000 0.715
Br1 Br 0.500 0.000 0.410
F1 F 0.500 0.000 0.975
F2 F 0.500 0.198 0.726
```

The 8 most intense peaks (15° ≤ 2θ ≤ 90°), low angle first:
(1 1 1), 2θ 27.59, intensity 44.3
(0 2 2), 2θ 28.73, intensity 28.4
(0 3 1), 2θ 28.88, intensity 35.6
(1 2 0), 2θ 29.51, intensity 100.0
(1 0 2), 2θ 32.78, intensity 45.9
(0 1 3), 2θ 35.26, intensity 28.1
(0 4 0), 2θ 35.62, intensity 26.5
(1 5 1), 2θ 52.73, intensity 24.8